This entry pairs a crystal structure of Er3Ni4Te with its theoretical XRD peak list. Radiation: Cu Ka. Structure: a DFT-relaxed cell (GGA-PBE, OQMD).

Crystal structure
```
data_Er3Ni4Te
_chemical_formula_sum 'Er3 Ni4 Te1'
_space_group_name_H-M_alt 'P 1 m 1'
_space_group_IT_number 6
_space_group_name_Hall 'P -2y'
_cell_length_a 5.309
_cell_length_b 4.064
_cell_length_c 6.928
_cell_angle_alpha 90.00
_cell_angle_beta 91.60
_cell_angle_gamma 90.00
loop_
_atom_site_label
_atom_site_fract_x
_atom_site_fract_y
_atom_site_fract_z
Er1 0.000 0.000 0.000
Er2 0.245 0.000 0.508
Er3 0.746 0.500 0.363
Ni1 0.002 0.500 0.723
Ni2 0.240 0.500 0.218
Ni3 0.500 0.000 0.142
Ni4 0.743 0.000 0.650
Te1 0.499 0.500 0.858
```

Top 6 peaks for 15 to 90 degrees two-theta, by angle:
- (1 1 -1), 30.38 deg, I 62
- (1 1 1), 30.77 deg, I 42
- (0 1 2), 34.02 deg, I 100
- (2 0 -1), 35.90 deg, I 46
- (2 0 1), 36.60 deg, I 43
- (0 2 0), 44.60 deg, I 50